(1)
Starting from DFT lattice parameters and positions (GGA-PBE), the powder XRD pattern of UNi4Sn was simulated for Cu Ka.
Intensities are scaled so that the largest is 100.

Most intense lines, 10° ≤ 2θ ≤ 80°, by intensity:
42.69 deg, rel. 100.0; 36.17 deg, rel. 65.4; 69.54 deg, rel. 31.5; 65.05 deg, rel. 24.9; 21.92 deg, rel. 22.3; 76.75 deg, rel. 22.1; 44.69 deg, rel. 15.3; 25.36 deg, rel. 7.4; 57.16 deg, rel. 6.3; 58.79 deg, rel. 3.0

Cell and atoms:
```
6
Lattice="0.000 3.512 3.512 3.512 0.000 3.512 3.512 3.512 0.000" Properties=species:S:1:pos:R:3 pbc="T T T"
U 0.000 0.000 0.000
Ni 4.388 2.636 2.636
Ni 2.636 4.388 2.636
Ni 2.636 2.636 4.388
Ni 4.388 4.388 4.388
Sn 1.756 1.756 1.756
```

***

(2)
Starting from DFT lattice parameters and positions (GGA-PBE), the powder XRD pattern of Ba6MgSc2C2O6F14 was simulated for Cu Ka.
Intensities are scaled so that the largest is 100.

Most intense lines, 10° ≤ 2θ ≤ 80°, by intensity:
24.71 deg, rel. 100.0; 25.80 deg, rel. 22.8; 45.63 deg, rel. 19.7; 42.28 deg, rel. 18.2; 40.54 deg, rel. 14.2; 29.09 deg, rel. 13.5; 37.64 deg, rel. 12.6; 39.81 deg, rel. 11.7; 29.99 deg, rel. 11.3; 49.00 deg, rel. 10.2

Cell and atoms:
```
31
Lattice="6.689 -5.958 0.000 6.689 5.958 0.000 -0.015 0.000 6.139" Properties=species:S:1:pos:R:3 pbc="T T T"
Ba 1.288 0.000 1.610
Ba 4.832 2.748 1.171
Ba 8.530 2.748 4.968
Ba 5.201 -2.607 1.458
Ba 8.162 -2.607 4.681
Ba 12.074 0.000 4.529
Mg 6.681 0.954 3.069
Sc 3.810 -0.099 4.710
Sc 9.553 -0.099 1.429
C 6.453 -0.010 5.378
C 6.909 -0.010 0.761
O 5.602 1.083 5.005
O 5.763 0.058 1.576
O 7.760 1.083 1.134
O 5.686 -1.166 5.124
O 7.599 0.058 4.563
O 7.676 -1.166 1.015
F 2.950 1.363 6.005
F 1.524 -0.376 4.272
F 6.689 4.162 0.000
F 3.458 1.217 3.145
F 6.681 2.908 3.069
F 3.155 -1.356 0.169
F 3.584 -1.683 3.397
F 9.905 1.217 2.994
F 10.413 1.363 0.134
F 6.681 -4.058 3.069
F 6.689 -4.281 0.000
F 9.779 -1.683 2.741
F 10.208 -1.356 5.970
F 11.839 -0.376 1.867
```

***

(3)
Starting from DFT lattice parameters and positions (GGA-PBE), the powder XRD pattern of Li4CO4 was simulated for Cu Ka.
Intensities are scaled so that the largest is 100.

Most intense lines, 10° ≤ 2θ ≤ 80°, by intensity:
37.60 deg, rel. 100.0; 23.70 deg, rel. 95.8; 23.85 deg, rel. 84.8; 45.92 deg, rel. 36.7; 22.49 deg, rel. 36.1; 42.38 deg, rel. 34.5; 49.44 deg, rel. 32.4; 42.72 deg, rel. 30.9; 29.73 deg, rel. 30.4; 49.21 deg, rel. 27.5

Cell and atoms:
```
9
Lattice="-2.116 2.133 3.953 2.116 -2.133 3.953 2.116 2.133 -3.953" Properties=species:S:1:pos:R:3 pbc="T T T"
Li 1.298 1.235 -1.139
Li 2.935 1.235 1.139
Li 0.818 0.898 2.814
Li -0.818 0.898 5.092
C 0.000 0.000 0.000
O 3.423 0.814 -0.842
O 0.810 0.814 0.842
O -1.306 1.319 3.111
O 1.306 1.319 4.794
```

***

(4)
Starting from DFT lattice parameters and positions (GGA-PBE), the powder XRD pattern of Sr4Zn11 was simulated for Cu Ka.
Intensities are scaled so that the largest is 100.

Most intense lines, 10° ≤ 2θ ≤ 80°, by intensity:
33.16 deg, rel. 100.0; 10.79 deg, rel. 87.6; 38.57 deg, rel. 81.5; 32.75 deg, rel. 41.4; 19.80 deg, rel. 27.5; 31.34 deg, rel. 24.9; 52.81 deg, rel. 24.6; 21.67 deg, rel. 21.7; 40.84 deg, rel. 20.6; 50.68 deg, rel. 18.4

Cell and atoms:
```
30
Lattice="-4.483 4.483 10.157 4.483 -4.483 10.157 4.483 4.483 -10.157" Properties=species:S:1:pos:R:3 pbc="T T T"
Sr 2.508 2.242 -1.676
Sr 6.459 2.242 -1.676
Sr 0.000 0.266 3.403
Sr 4.483 0.266 6.754
Sr 0.000 4.217 3.403
Sr 4.483 4.217 6.754
Sr -1.976 2.242 11.832
Sr 1.976 2.242 11.832
Zn 4.483 0.000 0.000
Zn 2.400 0.971 1.339
Zn 6.567 0.971 1.339
Zn 3.212 0.158 3.740
Zn 5.754 0.158 3.740
Zn 3.212 4.641 -3.740
Zn 1.271 0.158 6.417
Zn 4.483 2.242 2.539
Zn 2.400 3.513 1.339
Zn 2.084 -0.971 11.495
Zn -2.242 2.242 5.078
Zn 0.000 0.000 10.157
Zn 2.242 2.242 5.078
Zn 2.400 5.454 -1.339
Zn 2.084 0.971 8.818
Zn 0.000 2.242 7.617
Zn 3.212 4.325 3.740
Zn 1.271 -0.158 13.896
Zn -1.271 4.325 6.417
Zn 1.271 4.325 6.417
Zn -2.084 3.513 8.818
Zn 2.084 3.513 8.818
```

***

(5)
Starting from DFT lattice parameters and positions (GGA-PBE), the powder XRD pattern of Sr2MgAg2O4 was simulated for Cu Ka.
Intensities are scaled so that the largest is 100.

Most intense lines, 10° ≤ 2θ ≤ 80°, by intensity:
33.53 deg, rel. 100.0; 21.08 deg, rel. 88.7; 31.60 deg, rel. 67.1; 28.70 deg, rel. 65.6; 30.14 deg, rel. 59.0; 37.07 deg, rel. 36.7; 35.34 deg, rel. 26.8; 47.41 deg, rel. 18.8; 34.28 deg, rel. 18.4; 53.16 deg, rel. 17.1

Cell and atoms:
```
9
Lattice="5.948 0.000 0.000 2.713 5.370 0.000 2.728 -1.237 5.238" Properties=species:S:1:pos:R:3 pbc="T T T"
Sr 0.000 0.000 0.000
Sr 5.690 3.007 1.878
Mg 8.666 1.253 3.272
Ag 2.989 1.800 0.417
Ag 8.396 4.162 3.383
O 4.009 2.791 3.641
O 3.759 -0.447 3.156
O 7.636 0.966 4.958
O 7.373 1.241 1.689
```

***

(6)
Starting from DFT lattice parameters and positions (GGA-PBE), the powder XRD pattern of SnCl3O4 was simulated for Cu Ka.
Intensities are scaled so that the largest is 100.

Most intense lines, 10° ≤ 2θ ≤ 80°, by intensity:
15.00 deg, rel. 100.0; 13.80 deg, rel. 53.2; 17.64 deg, rel. 30.4; 10.78 deg, rel. 27.1; 11.56 deg, rel. 22.5; 30.25 deg, rel. 18.8; 32.20 deg, rel. 18.8; 15.97 deg, rel. 18.2; 21.61 deg, rel. 14.3; 32.78 deg, rel. 14.0

Cell and atoms:
```
32
Lattice="10.085 0.000 0.000 0.000 6.653 0.000 -9.164 0.000 12.831" Properties=species:S:1:pos:R:3 pbc="T T T"
Sn -2.881 0.255 6.353
Sn -7.463 3.071 12.769
Sn 8.384 3.582 0.062
Sn 3.801 6.398 6.478
Cl -7.058 4.102 10.706
Cl -2.475 5.878 4.290
Cl -6.278 0.944 12.621
Cl -1.696 2.383 6.206
Cl 3.435 4.083 1.365
Cl -1.147 5.897 7.781
Cl 2.068 0.757 5.050
Cl -2.514 2.570 11.466
Cl 2.617 4.270 6.625
Cl 7.199 5.710 0.210
Cl 3.396 0.775 8.541
Cl 7.978 2.552 2.125
O 0.180 4.462 0.531
O -4.402 5.518 6.946
O -4.355 4.636 8.507
O 0.227 5.344 2.091
O 0.613 4.702 3.052
O -3.969 5.278 9.468
O -2.725 1.133 8.257
O 1.857 2.193 1.842
O -0.936 4.460 10.989
O 3.646 5.520 4.573
O 4.890 1.376 3.363
O 0.308 1.951 9.779
O 0.694 1.310 10.740
O 5.276 2.017 4.324
O 5.322 1.135 5.885
O 0.740 2.192 12.300
```